[1]
Structure and theoretical X-ray powder pattern of B11Rh18 (a cell relaxed with GGA-PBE; CuKα).
Intensities are scaled so that the largest is 100.

Most intense lines, 2θ from 10° to 90°, by angle:
| 2theta | d [Å] | I (rel.) | hkl |
| --- | --- | --- | --- |
| 33.81 | 2.652 | 68 | 0 2 -3 |
| 36.86 | 2.438 | 31 | 1 2 -3 |
| 37.09 | 2.424 | 61 | -2 1 1 |
| 38.41 | 2.344 | 31 | 1 -2 3 |
| 38.89 | 2.315 | 56 | 0 1 3 |
| 40.52 | 2.226 | 50 | 2 0 2 |
| 40.64 | 2.220 | 28 | 0 2 2 |
| 42.06 | 2.148 | 100 | 0 3 0 |
| 43.65 | 2.074 | 31 | 2 0 -3 |
| 70.30 | 1.339 | 30 | 4 1 -2 |

Cell and atoms:
a b c (Å): 5.5363 6.9012 9.1579
angles (deg): 110.73 94.62 90.50
Space group P1 (No. 1)
Inequivalent atoms, fractional coordinates:
B  0.0000  0.0000  0.0000 x1
B  0.0379  0.7596  0.6246 x1
B  0.1125  0.4798  0.0418 x1
B  0.2239  0.1458  0.5434 x1
B  0.3783  0.4326  0.3659 x1
B  0.4799  0.1488  0.8760 x1
B  0.5555  0.6135  0.7605 x1
B  0.6715  0.3425  0.2760 x1
B  0.8125  0.6136  0.0888 x1
B  0.8710  0.8527  0.2736 x1
B  0.9273  0.2886  0.6010 x1
Rh  0.0589  0.5762  0.3020 x1
Rh  0.1213  0.1978  0.7836 x1
Rh  0.1709  0.8300  0.1311 x1
Rh  0.2512  0.4818  0.5869 x1
Rh  0.2758  0.8540  0.8387 x1
Rh  0.2937  0.2331  0.0965 x1
Rh  0.3537  0.8650  0.5438 x1
Rh  0.4422  0.5262  0.9488 x1
Rh  0.4709  0.1290  0.3598 x1
Rh  0.5550  0.6405  0.2719 x1
Rh  0.5906  0.2390  0.6883 x1
Rh  0.6721  0.9058  0.0882 x1
Rh  0.7438  0.5280  0.5401 x1
Rh  0.7555  0.9071  0.7915 x1
Rh  0.7864  0.2786  0.0475 x1
Rh  0.8604  0.9423  0.5104 x1
Rh  0.9147  0.5671  0.8544 x1
Rh  0.9695  0.1808  0.3384 x1

***

[2]
Structure and theoretical X-ray powder pattern of B3Rh7 (a cell relaxed with GGA-PBE; CuKα).
Intensities are scaled so that the largest is 100.

Most intense lines, 2θ from 10° to 90°, by angle:
| 2theta | d [Å] | I (rel.) | hkl |
| --- | --- | --- | --- |
| 33.12 | 2.705 | 16 | 2 0 1 |
| 36.57 | 2.457 | 26 | 2 1 0 |
| 36.87 | 2.438 | 17 | 0 0 2 |
| 39.48 | 2.282 | 26 | 1 0 2 |
| 41.14 | 2.194 | 100 | 2 1 1 |
| 45.82 | 1.980 | 15 | 3 0 1 |
| 46.57 | 1.950 | 13 | 2 0 2 |
| 72.73 | 1.300 | 20 | 3 0 3 |
| 74.59 | 1.272 | 13 | 3 2 2 |
| 75.70 | 1.256 | 16 | 5 0 1 |

Cell and atoms:
a b c (Å): 7.5071 7.5071 4.8753
angles (deg): 90.00 90.00 120.00
Space group P6_3mc (No. 186)
Inequivalent atoms, fractional coordinates:
B  0.1894  0.3788  0.0000 x6
Rh  0.0872  0.5436  0.7492 x6
Rh  0.1227  0.2455  0.3917 x6
Rh  0.3333  0.6667  0.2450 x2